Record 1
The following is a computed PXRD pattern of Mg7Cu2O9. It was derived from a GGA-PBE-relaxed structure, using Cu Kα (λ = 1.5418 Å).
Intensities are scaled so that the largest is 100.

Structural model:
Unit cell a=7.9530 b=7.9530 c=7.3550 alpha=90.10 beta=90.10 gamma=21.84
Fractional positions:
Mg 0.0000 0.0000 0.0000
Mg 0.2236 0.2236 0.6690
Mg 0.3341 0.3341 0.9971
Mg 0.4447 0.4447 0.3342
Mg 0.5553 0.5553 0.6658
Mg 0.6659 0.6659 0.0029
Mg 0.7764 0.7764 0.3310
Cu 0.1113 0.1113 0.3341
Cu 0.8887 0.8887 0.6659
O 0.0000 0.0000 0.5000
O 0.1107 0.1107 0.8335
O 0.2239 0.2239 0.1641
O 0.3320 0.3320 0.4963
O 0.4460 0.4460 0.8367
O 0.5540 0.5540 0.1633
O 0.6680 0.6680 0.5037
O 0.7761 0.7761 0.8359
O 0.8893 0.8893 0.1665

Main lines, most intense first (2θ from 10° to 80°):
Position (°2θ)  d (Å)  I_rel
42.51  2.126  100.0
61.69  1.504  37.8
36.58  2.457  22.6
16.56  5.353  18.0
61.55  1.507  9.5
61.83  1.501  9.3
77.67  1.229  8.7
77.92  1.226  8.5
36.66  2.452  7.0
26.79  3.327  6.0


Record 2
The following is a computed PXRD pattern of MgS2. It was derived from a GGA-PBE-relaxed structure, using Cu Kα (λ = 1.5418 Å).
Intensities are scaled so that the largest is 100.

Structural model:
Unit cell a=5.1171 b=5.1171 c=5.1171 alpha=45.59 beta=45.59 gamma=45.59
Fractional positions:
Mg 0.0000 0.0000 0.0000
S 0.4237 0.4237 0.4237
S 0.5763 0.5763 0.5763

Main lines, most intense first (2θ from 10° to 80°):
Position (°2θ)  d (Å)  I_rel
29.07  3.071  100.0
45.76  1.983  52.5
42.14  2.145  44.8
26.76  3.332  36.1
53.83  1.703  33.8
73.27  1.292  14.5
55.14  1.666  14.1
74.38  1.275  12.5
63.95  1.456  11.9
19.40  4.576  6.2


Record 3
The following is a computed PXRD pattern of Ba4Pr3BiO12. It was derived from a GGA-PBE-relaxed structure, using Cu Kα (λ = 1.5418 Å).
Intensities are scaled so that the largest is 100.

Structural model:
Unit cell a=6.3411 b=6.3889 c=9.0090 alpha=89.90 beta=89.90 gamma=89.99
Fractional positions:
Ba 0.0055 0.4682 0.2578
Ba 0.4906 0.9691 0.2574
Ba 0.5094 0.0309 0.7426
Ba 0.9945 0.5318 0.7422
Pr 0.0000 0.0000 0.0000
Pr 0.5000 0.5000 0.0000
Pr 0.5000 0.5000 0.5000
Bi 0.0000 0.0000 0.5000
O 0.0805 0.9816 0.7339
O 0.1986 0.7006 0.0444
O 0.2125 0.7387 0.4598
O 0.2591 0.2150 0.4565
O 0.2996 0.1987 0.0468
O 0.4194 0.4722 0.7477
O 0.5806 0.5278 0.2523
O 0.7004 0.8013 0.9532
O 0.7409 0.7850 0.5435
O 0.7875 0.2613 0.5402
O 0.8014 0.2994 0.9556
O 0.9195 0.0184 0.2661

Main lines, most intense first (2θ from 10° to 80°):
Position (°2θ)  d (Å)  I_rel
27.99  3.187  100.0
28.10  3.175  48.4
40.06  2.251  38.8
49.73  1.833  28.8
49.47  1.842  25.0
65.56  1.424  13.0
57.90  1.593  11.9
49.59  1.838  11.2
65.45  1.426  6.2
79.63  1.204  5.4


Record 4
The following is a computed PXRD pattern of Y2Si5Rh3. It was derived from a GGA-PBE-relaxed structure, using Cu Kα (λ = 1.5418 Å).
Intensities are scaled so that the largest is 100.

Structural model:
Unit cell a=8.1147 b=8.1147 c=5.7097 alpha=108.93 beta=108.93 gamma=93.42
Fractional positions:
Y 0.0992 0.3671 0.2399
Y 0.3671 0.0992 0.7399
Y 0.6329 0.9008 0.2601
Y 0.9008 0.6329 0.7601
Si 0.0123 0.9877 0.7500
Si 0.2335 0.4420 0.8388
Si 0.2759 0.7241 0.7500
Si 0.2897 0.7103 0.2500
Si 0.4420 0.2335 0.3388
Si 0.5580 0.7665 0.6612
Si 0.7103 0.2897 0.7500
Si 0.7241 0.2759 0.2500
Si 0.7665 0.5580 0.1612
Si 0.9877 0.0123 0.2500
Rh 0.0395 0.7603 0.3737
Rh 0.2397 0.9605 0.1263
Rh 0.4980 0.5020 0.2500
Rh 0.5020 0.4980 0.7500
Rh 0.7603 0.0395 0.8737
Rh 0.9605 0.2397 0.6263

Main lines, most intense first (2θ from 10° to 80°):
Position (°2θ)  d (Å)  I_rel
35.68  2.516  100.0
44.14  2.052  78.4
34.53  2.598  57.5
24.36  3.654  44.8
35.49  2.530  40.3
33.99  2.638  23.1
30.26  2.953  21.3
31.37  2.852  18.4
56.54  1.628  13.7
37.18  2.418  13.2


Record 5
The following is a computed PXRD pattern of Ho2MgNi2. It was derived from a GGA-PBE-relaxed structure, using Cu Kα (λ = 1.5418 Å).
Intensities are scaled so that the largest is 100.

Structural model:
Unit cell a=7.2982 b=7.2982 c=3.7471 alpha=90.00 beta=90.00 gamma=90.00
Fractional positions:
Ho 0.1763 0.3237 0.0000
Ho 0.3237 0.8237 0.0000
Ho 0.6763 0.1763 0.0000
Ho 0.8237 0.6763 0.0000
Mg 0.0000 0.0000 0.5000
Mg 0.5000 0.5000 0.5000
Ni 0.1171 0.6171 0.5000
Ni 0.3829 0.1171 0.5000
Ni 0.6171 0.8829 0.5000
Ni 0.8829 0.3829 0.5000

Main lines, most intense first (2θ from 10° to 80°):
Position (°2θ)  d (Å)  I_rel
36.51  2.461  100.0
34.30  2.614  31.8
27.32  3.264  21.7
39.03  2.308  20.8
17.18  5.161  19.6
57.59  1.600  18.2
24.39  3.649  16.8
51.64  1.770  16.0
48.60  1.874  12.5
73.62  1.287  11.1


Record 6
The following is a computed PXRD pattern of HgNCl. It was derived from a GGA-PBE-relaxed structure, using Cu Kα (λ = 1.5418 Å).
Intensities are scaled so that the largest is 100.

Structural model:
Unit cell a=7.8590 b=11.3898 c=4.1115 alpha=90.00 beta=90.00 gamma=90.00
Fractional positions:
Hg 0.0000 0.0000 0.0000
Hg 0.0000 0.5000 0.0000
Hg 0.5000 0.0000 0.0000
Hg 0.5000 0.5000 0.0000
N 0.2500 0.2008 0.0287
N 0.2500 0.2992 0.0287
N 0.7500 0.7008 0.9713
N 0.7500 0.7992 0.9713
Cl 0.2500 0.5456 0.5127
Cl 0.2500 0.9544 0.5127
Cl 0.7500 0.0456 0.4873
Cl 0.7500 0.4544 0.4873

Main lines, most intense first (2θ from 10° to 80°):
Position (°2θ)  d (Å)  I_rel
15.56  5.695  100.0
35.31  2.542  67.4
31.47  2.843  57.8
27.58  3.234  35.7
21.61  4.112  30.5
26.74  3.334  28.9
45.08  2.011  26.2
22.63  3.930  18.7
38.46  2.341  16.7
39.07  2.306  14.6


Record 7
The following is a computed PXRD pattern of Y5Ir3. It was derived from a GGA-PBE-relaxed structure, using Cu Kα (λ = 1.5418 Å).
Intensities are scaled so that the largest is 100.

Structural model:
Unit cell a=8.3500 b=8.3500 c=6.2488 alpha=90.00 beta=90.00 gamma=120.00
Fractional positions:
Y 0.0000 0.2585 0.2500
Y 0.0000 0.7415 0.7500
Y 0.2585 0.0000 0.2500
Y 0.2585 0.2585 0.7500
Y 0.3333 0.6667 0.0000
Y 0.3333 0.6667 0.5000
Y 0.6667 0.3333 0.0000
Y 0.6667 0.3333 0.5000
Y 0.7415 0.0000 0.7500
Y 0.7415 0.7415 0.2500
Ir 0.0000 0.3910 0.7500
Ir 0.0000 0.6090 0.2500
Ir 0.3910 0.0000 0.7500
Ir 0.3910 0.3910 0.2500
Ir 0.6090 0.0000 0.2500
Ir 0.6090 0.6090 0.7500

Main lines, most intense first (2θ from 10° to 80°):
Position (°2θ)  d (Å)  I_rel
35.88  2.503  100.0
37.30  2.410  32.5
47.63  1.909  28.2
28.57  3.124  21.4
25.66  3.471  20.4
71.99  1.312  19.5
55.46  1.657  15.8
12.24  7.231  13.6
64.48  1.445  12.6
38.06  2.364  9.8